No. 1
Diffraction record for BaSmTi4O12. The X-ray diffraction stick pattern is computed, not measured: it uses a crystal structure in the Materials Project, relaxed with PBE and a wavelength of 1.5418 Å.
No peak broadening, texture or thermal motion is included.

```
data_BaSmTi4O12
_chemical_formula_sum 'Ba1 Sm1 Ti4 O12'
_space_group_name_H-M_alt 'P 1'
_space_group_IT_number 1
_cell_length_a 5.5433
_cell_length_b 5.5433
_cell_length_c 7.7983
_cell_angle_alpha 90.00
_cell_angle_beta 90.00
_cell_angle_gamma 90.00
loop_
_space_group_symop_operation_xyz
'x,y,z'
loop_
_atom_site_label
_atom_site_type_symbol
_atom_site_fract_x
_atom_site_fract_y
_atom_site_fract_z
Ba1 Ba 0.0000 0.0000 0.0000
Sm1 Sm 0.5000 0.5000 0.5000
Ti1 Ti 0.0000 0.5000 0.2507
Ti2 Ti 0.0000 0.5000 0.7493
Ti3 Ti 0.5000 0.0000 0.2507
Ti4 Ti 0.5000 0.0000 0.7493
O1 O 0.0000 0.5000 0.0000
O2 O 0.0000 0.5000 0.5000
O3 O 0.2582 0.2582 0.2639
O4 O 0.2582 0.2582 0.7361
O5 O 0.2582 0.7418 0.2639
O6 O 0.2582 0.7418 0.7361
O7 O 0.5000 0.0000 0.0000
O8 O 0.5000 0.0000 0.5000
O9 O 0.7418 0.2582 0.2639
O10 O 0.7418 0.2582 0.7361
O11 O 0.7418 0.7418 0.2639
O12 O 0.7418 0.7418 0.7361
```

Largest 8 diffraction maxima, sorted by position, 5° ≤ 2θ ≤ 70°:
- 2θ 19.6, I 100
- 2θ 32.4, I 89
- 2θ 38.1, I 37
- 2θ 38.2, I 18
- 2θ 39.9, I 16
- 2θ 46.3, I 28
- 2θ 50.9, I 16
- 2θ 57.7, I 23

=====

No. 2
Diffraction record for LiCu2S3O12. The X-ray diffraction stick pattern is computed, not measured: it uses a crystal structure in the Materials Project, relaxed with PBE and a wavelength of 1.5418 Å.
No peak broadening, texture or thermal motion is included.

```
data_LiCu2S3O12
_chemical_formula_sum 'Li2 Cu4 S6 O24'
_space_group_name_H-M_alt 'P 1'
_space_group_IT_number 1
_cell_length_a 8.5973
_cell_length_b 8.5973
_cell_length_c 8.5973
_cell_angle_alpha 60.02
_cell_angle_beta 60.02
_cell_angle_gamma 60.02
loop_
_space_group_symop_operation_xyz
'x,y,z'
loop_
_atom_site_label
_atom_site_type_symbol
_atom_site_fract_x
_atom_site_fract_y
_atom_site_fract_z
Li1 Li 0.0000 0.0000 0.0000
Li2 Li 0.5000 0.5000 0.5000
Cu1 Cu 0.1452 0.1452 0.1452
Cu2 Cu 0.3548 0.3548 0.3548
Cu3 Cu 0.6452 0.6452 0.6452
Cu4 Cu 0.8548 0.8548 0.8548
S1 S 0.0459 0.7500 0.4541
S2 S 0.2500 0.5459 0.9541
S3 S 0.4541 0.0459 0.7500
S4 S 0.5459 0.9541 0.2500
S5 S 0.7500 0.4541 0.0459
S6 S 0.9541 0.2500 0.5459
O1 O 0.0142 0.8054 0.6069
O2 O 0.0579 0.9109 0.2684
O3 O 0.0891 0.7316 0.9421
O4 O 0.1069 0.3054 0.5142
O5 O 0.1946 0.3931 0.9858
O6 O 0.2316 0.5891 0.4421
O7 O 0.2684 0.0579 0.9109
O8 O 0.3054 0.5142 0.1069
O9 O 0.3931 0.9858 0.1946
O10 O 0.4109 0.5579 0.7684
O11 O 0.4421 0.2316 0.5891
O12 O 0.4858 0.8931 0.6946
O13 O 0.5142 0.1069 0.3054
O14 O 0.5579 0.7684 0.4109
O15 O 0.5891 0.4421 0.2316
O16 O 0.6069 0.0142 0.8054
O17 O 0.6946 0.4858 0.8931
O18 O 0.7316 0.9421 0.0891
O19 O 0.7684 0.4109 0.5579
O20 O 0.8054 0.6069 0.0142
O21 O 0.8931 0.6946 0.4858
O22 O 0.9109 0.2684 0.0579
O23 O 0.9421 0.0891 0.7316
O24 O 0.9858 0.1946 0.3931
```

Largest 8 diffraction maxima, sorted by position, 5° ≤ 2θ ≤ 70°:
- 2θ 14.6, I 22
- 2θ 20.7, I 82
- 2θ 24.3, I 100
- 2θ 29.4, I 35
- 2θ 32.9, I 41
- 2θ 36.2, I 45
- 2θ 49.7, I 27
- 2θ 56.6, I 31

=====

No. 3
Diffraction record for Na3Ca. The X-ray diffraction stick pattern is computed, not measured: it uses a crystal structure in the Materials Project, relaxed with PBE and a wavelength of 1.5418 Å.
No peak broadening, texture or thermal motion is included.

```
data_Na3Ca
_chemical_formula_sum 'Na3 Ca1'
_space_group_name_H-M_alt 'P 1'
_space_group_IT_number 1
_cell_length_a 5.3546
_cell_length_b 5.3546
_cell_length_c 5.3546
_cell_angle_alpha 90.00
_cell_angle_beta 90.00
_cell_angle_gamma 90.00
loop_
_space_group_symop_operation_xyz
'x,y,z'
loop_
_atom_site_label
_atom_site_type_symbol
_atom_site_fract_x
_atom_site_fract_y
_atom_site_fract_z
Na1 Na 0.0000 0.0000 0.5000
Na2 Na 0.0000 0.5000 0.0000
Na3 Na 0.5000 0.0000 0.0000
Ca1 Ca 0.5000 0.5000 0.5000
```

Largest 8 diffraction maxima, sorted by position, 5° ≤ 2θ ≤ 70°:
- 2θ 16.6, I 8
- 2θ 23.5, I 6
- 2θ 28.9, I 100
- 2θ 33.5, I 50
- 2θ 37.6, I 3
- 2θ 48.1, I 33
- 2θ 57.0, I 38
- 2θ 59.8, I 11